The following is a simulated powder X-ray diffraction pattern of Pm2Pr3Tm4. It was derived from a GGA-PBE-relaxed structure, using Cu Ka.

Most intense lines, 2θ = 10–90°, sorted by position:
| (hkl) | two_theta | I/Imax |
| --- | --- | --- |
| 1 1 1 | 30.4 | 100 |
| 0 3 0 | 35.3 | 51 |
| 0 2 3 | 50.7 | 12 |
| 2 3 -1 | 50.8 | 24 |
| 1 4 1 | 60.2 | 18 |
| 3 1 0 | 60.3 | 21 |
| 3 4 0 | 82.6 | 7 |
| 4 -1 1 | 85.3 | 8 |

Cell and atoms:
```
Pm2Pr3Tm4
1.0
5.0841 0.0000 0.0000
-0.0047 8.0426 0.0000
-2.5374 -2.4034 7.2593
Pm Pr Tm
2 3 4
Cartesian
0.0032 -0.7918 2.4193 Pm
2.5388 6.4309 4.8400 Pm
0.0026 0.8398 5.6337 Pr
2.5420 0.0000 0.0000 Pr
2.5394 4.7993 1.6255 Pr
-0.0016 2.4239 0.8379 Tm
0.0009 4.0031 4.0386 Tm
2.5411 1.6360 3.2206 Tm
2.5436 3.2153 6.4213 Tm
```